Li4SbS4: calculated X-ray diffraction stick pattern (CuKα), based on a crystal structure in the Materials Project, relaxed with PBE.

Structure:
```
Li4SbS4
1.0
5.199 -4.521 0.000
5.199 4.521 0.000
0.000 0.000 8.002
Li Sb S
8 2 8
Direct
0.082 0.615 0.750 Li
0.343 0.343 0.000 Li
0.343 0.343 0.500 Li
0.385 0.918 0.750 Li
0.615 0.082 0.250 Li
0.657 0.657 0.000 Li
0.657 0.657 0.500 Li
0.918 0.385 0.250 Li
0.146 0.854 0.250 Sb
0.854 0.146 0.750 Sb
0.192 0.250 0.750 S
0.250 0.192 0.250 S
0.296 0.704 0.509 S
0.296 0.704 0.991 S
0.704 0.296 0.009 S
0.704 0.296 0.491 S
0.750 0.808 0.750 S
0.808 0.750 0.250 S
```

The 12 most intense peaks (2θ from 15° to 90°), most intense first:
| two_theta | I_rel |
| --- | --- |
| 17.1 | 100 |
| 22.6 | 46 |
| 25.8 | 41 |
| 26.1 | 37 |
| 29.8 | 26 |
| 45.9 | 26 |
| 38.4 | 25 |
| 28.4 | 24 |
| 34.5 | 20 |
| 22.2 | 18 |
| 41.6 | 17 |
| 49.5 | 16 |

Li7Sb2S2: calculated X-ray diffraction stick pattern (CuKα), based on a crystal structure in the Materials Project, relaxed with PBE.

Structure:
```
Li7Sb2S2
1.0
5.735 0.000 0.000
2.092 8.693 0.000
2.063 3.379 8.915
Li Sb S
14 4 4
Direct
0.052 0.443 0.375 Li
0.059 0.929 0.376 Li
0.096 0.756 0.169 Li
0.140 0.624 0.937 Li
0.297 0.145 0.027 Li
0.408 0.239 0.708 Li
0.433 0.574 0.630 Li
0.567 0.426 0.370 Li
0.592 0.761 0.292 Li
0.703 0.855 0.973 Li
0.860 0.376 0.063 Li
0.904 0.244 0.831 Li
0.941 0.071 0.624 Li
0.948 0.557 0.625 Li
0.243 0.937 0.863 Sb
0.393 0.130 0.375 Sb
0.607 0.870 0.625 Sb
0.757 0.063 0.137 Sb
0.161 0.417 0.842 S
0.235 0.648 0.406 S
0.765 0.352 0.594 S
0.839 0.583 0.158 S
```

The 12 most intense peaks (2θ from 15° to 90°), most intense first:
| two_theta | I_rel |
| --- | --- |
| 22.8 | 100 |
| 17.2 | 83 |
| 23.9 | 73 |
| 30.3 | 58 |
| 27.4 | 54 |
| 27.1 | 53 |
| 17.7 | 35 |
| 36.1 | 29 |
| 27.8 | 28 |
| 40.5 | 24 |
| 32.4 | 24 |
| 41.8 | 23 |

Li8SbS6: calculated X-ray diffraction stick pattern (CuKα), based on a crystal structure in the Materials Project, relaxed with PBE.

Structure:
```
Li8SbS6
1.0
7.067 0.000 0.000
-3.533 6.120 0.000
0.000 0.000 13.462
Li Sb S
16 2 12
Direct
0.000 0.324 0.000 Li
0.000 0.386 0.367 Li
0.000 0.614 0.867 Li
0.000 0.676 0.500 Li
0.324 0.000 0.000 Li
0.324 0.324 0.500 Li
0.333 0.667 0.132 Li
0.333 0.667 0.632 Li
0.386 0.000 0.367 Li
0.386 0.386 0.867 Li
0.614 0.000 0.867 Li
0.614 0.614 0.367 Li
0.667 0.333 0.132 Li
0.667 0.333 0.632 Li
0.676 0.000 0.500 Li
0.676 0.676 0.000 Li
0.000 0.000 0.228 Sb
0.000 0.000 0.728 Sb
0.000 0.000 0.418 S
0.000 0.000 0.918 S
0.000 0.342 0.185 S
0.000 0.658 0.685 S
0.333 0.667 0.449 S
0.333 0.667 0.949 S
0.342 0.000 0.185 S
0.342 0.342 0.685 S
0.658 0.000 0.685 S
0.658 0.658 0.185 S
0.667 0.333 0.449 S
0.667 0.333 0.949 S
```

The 12 most intense peaks (2θ from 15° to 90°), most intense first:
| two_theta | I_rel |
| --- | --- |
| 19.6 | 100 |
| 25.2 | 50 |
| 44.4 | 45 |
| 26.5 | 39 |
| 32.1 | 33 |
| 26.1 | 32 |
| 52.5 | 31 |
| 41.3 | 31 |
| 36.9 | 28 |
| 30.3 | 23 |
| 42.9 | 21 |
| 29.2 | 20 |

Li3SbS3: calculated X-ray diffraction stick pattern (CuKα), based on a crystal structure in the Materials Project, relaxed with PBE.

Structure:
```
Li3SbS3
1.0
3.568 2.060 6.497
-3.568 2.060 6.497
0.000 -4.121 6.497
Li Sb S
6 2 6
Direct
0.134 0.813 0.408 Li
0.187 0.592 0.866 Li
0.408 0.134 0.813 Li
0.592 0.866 0.187 Li
0.813 0.408 0.134 Li
0.866 0.187 0.592 Li
0.318 0.318 0.318 Sb
0.682 0.682 0.682 Sb
0.066 0.464 0.731 S
0.269 0.934 0.536 S
0.464 0.731 0.066 S
0.536 0.269 0.934 S
0.731 0.066 0.464 S
0.934 0.536 0.269 S
```

The 12 most intense peaks (2θ from 15° to 90°), most intense first:
| two_theta | I_rel |
| --- | --- |
| 28.5 | 100 |
| 17.0 | 70 |
| 37.4 | 52 |
| 15.0 | 35 |
| 43.9 | 33 |
| 27.0 | 25 |
| 39.7 | 21 |
| 54.4 | 21 |
| 37.1 | 16 |
| 53.2 | 15 |
| 45.3 | 14 |
| 25.0 | 14 |

Li3SbS4: calculated X-ray diffraction stick pattern (CuKα), based on a crystal structure in the Materials Project, relaxed with PBE.

Structure:
```
Li3SbS4
1.0
6.162 0.000 0.000
0.000 6.162 0.000
0.000 0.000 6.162
Li Sb S
3 1 4
Direct
0.000 0.000 0.500 Li
0.000 0.500 0.000 Li
0.500 0.000 0.000 Li
0.000 0.000 0.000 Sb
0.220 0.220 0.220 S
0.220 0.780 0.780 S
0.780 0.220 0.780 S
0.780 0.780 0.220 S
```

The 12 most intense peaks (2θ from 15° to 90°), most intense first:
| two_theta | I_rel |
| --- | --- |
| 20.4 | 100 |
| 25.0 | 80 |
| 41.4 | 66 |
| 35.7 | 48 |
| 32.5 | 45 |
| 44.1 | 41 |
| 53.6 | 35 |
| 55.8 | 31 |
| 49.0 | 28 |
| 64.1 | 19 |
| 75.6 | 17 |
| 84.7 | 17 |

Li3SbS4: calculated X-ray diffraction stick pattern (CuKα), based on a crystal structure in the Materials Project, relaxed with PBE.

Structure:
```
Li3SbS4
1.0
8.029 0.000 0.000
0.000 6.921 0.000
0.000 0.000 6.477
Li Sb S
6 2 8
Direct
0.000 0.153 0.000 Li
0.246 0.324 0.494 Li
0.254 0.676 0.994 Li
0.500 0.847 0.500 Li
0.746 0.676 0.994 Li
0.754 0.324 0.494 Li
0.000 0.826 0.493 Sb
0.500 0.174 0.993 Sb
0.000 0.148 0.617 S
0.000 0.820 0.126 S
0.242 0.665 0.612 S
0.258 0.335 0.112 S
0.500 0.180 0.626 S
0.500 0.852 0.117 S
0.742 0.335 0.112 S
0.758 0.665 0.612 S
```

The 12 most intense peaks (2θ from 15° to 90°), most intense first:
| two_theta | I_rel |
| --- | --- |
| 17.6 | 100 |
| 16.9 | 91 |
| 25.7 | 79 |
| 18.8 | 66 |
| 49.7 | 58 |
| 29.2 | 48 |
| 27.5 | 45 |
| 45.3 | 43 |
| 32.5 | 30 |
| 22.1 | 27 |
| 21.8 | 27 |
| 38.0 | 26 |

LiSbS2: calculated X-ray diffraction stick pattern (CuKα), based on a crystal structure in the Materials Project, relaxed with PBE.

Structure:
```
LiSbS2
1.0
3.953 -3.945 0.000
3.953 3.945 0.000
-3.942 0.000 5.500
Li Sb S
2 2 4
Direct
0.130 0.870 0.750 Li
0.870 0.130 0.250 Li
0.390 0.610 0.250 Sb
0.610 0.390 0.750 Sb
0.159 0.363 0.745 S
0.363 0.159 0.245 S
0.637 0.841 0.755 S
0.841 0.637 0.255 S
```

The 12 most intense peaks (2θ from 15° to 90°), most intense first:
| two_theta | I_rel |
| --- | --- |
| 17.8 | 100 |
| 32.1 | 61 |
| 46.3 | 41 |
| 29.1 | 32 |
| 32.6 | 31 |
| 36.9 | 30 |
| 46.0 | 20 |
| 27.8 | 17 |
| 43.8 | 17 |
| 57.5 | 14 |
| 44.2 | 9 |
| 49.7 | 8 |

Li3SbS4: calculated X-ray diffraction stick pattern (CuKα), based on a crystal structure in the Materials Project, relaxed with PBE.

Structure:
```
Li3SbS4
1.0
7.203 0.000 0.000
0.000 9.250 0.000
0.000 0.000 10.066
Li Sb S
12 4 16
Direct
0.012 0.250 0.096 Li
0.236 0.048 0.745 Li
0.236 0.452 0.745 Li
0.264 0.548 0.245 Li
0.264 0.952 0.245 Li
0.488 0.750 0.596 Li
0.512 0.250 0.404 Li
0.736 0.048 0.755 Li
0.736 0.452 0.755 Li
0.764 0.548 0.255 Li
0.764 0.952 0.255 Li
0.988 0.750 0.904 Li
0.075 0.250 0.494 Sb
0.425 0.750 0.994 Sb
0.575 0.250 0.006 Sb
0.925 0.750 0.506 Sb
0.018 0.750 0.280 S
0.148 0.750 0.681 S
0.215 0.553 0.980 S
0.215 0.947 0.980 S
0.285 0.053 0.480 S
0.285 0.447 0.480 S
0.352 0.250 0.181 S
0.482 0.250 0.780 S
0.518 0.750 0.220 S
0.648 0.750 0.819 S
0.715 0.553 0.520 S
0.715 0.947 0.520 S
0.785 0.053 0.020 S
0.785 0.447 0.020 S
0.852 0.250 0.319 S
0.982 0.250 0.720 S
```

The 12 most intense peaks (2θ from 15° to 90°), most intense first:
| two_theta | I_rel |
| --- | --- |
| 24.5 | 100 |
| 15.1 | 98 |
| 17.9 | 51 |
| 17.6 | 50 |
| 19.2 | 47 |
| 32.1 | 39 |
| 31.5 | 38 |
| 30.9 | 34 |
| 42.6 | 29 |
| 35.7 | 22 |
| 48.9 | 21 |
| 51.1 | 20 |

Li3SbS3: calculated X-ray diffraction stick pattern (CuKα), based on a crystal structure in the Materials Project, relaxed with PBE.

Structure:
```
Li3SbS3
1.0
8.296 0.000 0.000
0.000 8.296 0.000
0.000 0.000 8.296
Li Sb S
12 4 12
Direct
0.019 0.019 0.019 Li
0.210 0.290 0.710 Li
0.215 0.715 0.785 Li
0.285 0.285 0.285 Li
0.290 0.710 0.210 Li
0.481 0.981 0.519 Li
0.519 0.481 0.981 Li
0.710 0.210 0.290 Li
0.715 0.785 0.215 Li
0.785 0.215 0.715 Li
0.790 0.790 0.790 Li
0.981 0.519 0.481 Li
0.039 0.961 0.461 Sb
0.461 0.039 0.961 Sb
0.539 0.539 0.539 Sb
0.961 0.461 0.039 Sb
0.002 0.745 0.117 S
0.117 0.002 0.745 S
0.245 0.383 0.998 S
0.255 0.617 0.498 S
0.383 0.998 0.245 S
0.498 0.255 0.617 S
0.502 0.755 0.883 S
0.617 0.498 0.255 S
0.745 0.117 0.002 S
0.755 0.883 0.502 S
0.883 0.502 0.755 S
0.998 0.245 0.383 S
```

The 12 most intense peaks (2θ from 15° to 90°), most intense first:
| two_theta | I_rel |
| --- | --- |
| 18.5 | 100 |
| 34.2 | 64 |
| 21.4 | 52 |
| 40.7 | 35 |
| 35.9 | 30 |
| 56.6 | 28 |
| 24.0 | 21 |
| 30.5 | 20 |
| 45.1 | 19 |
| 86.1 | 18 |
| 50.4 | 16 |
| 32.4 | 16 |

Li7Sb2S2: calculated X-ray diffraction stick pattern (CuKα), based on a crystal structure in the Materials Project, relaxed with PBE.

Structure:
```
Li7Sb2S2
1.0
5.630 0.000 0.000
0.774 8.650 0.000
0.701 1.383 8.626
Li Sb S
14 4 4
Direct
0.008 0.453 0.345 Li
0.014 0.678 0.937 Li
0.154 0.225 0.674 Li
0.261 0.884 0.533 Li
0.417 0.760 0.185 Li
0.468 0.367 0.090 Li
0.490 0.565 0.626 Li
0.510 0.435 0.374 Li
0.532 0.633 0.910 Li
0.583 0.240 0.815 Li
0.739 0.116 0.467 Li
0.846 0.775 0.326 Li
0.986 0.322 0.063 Li
0.992 0.547 0.655 Li
0.266 0.163 0.323 Sb
0.350 0.952 0.886 Sb
0.650 0.048 0.114 Sb
0.734 0.837 0.677 Sb
0.219 0.652 0.421 S
0.263 0.446 0.857 S
0.737 0.554 0.143 S
0.781 0.348 0.579 S
```

The 12 most intense peaks (2θ from 15° to 90°), most intense first:
| two_theta | I_rel |
| --- | --- |
| 25.6 | 100 |
| 24.7 | 97 |
| 25.2 | 87 |
| 15.7 | 73 |
| 26.9 | 62 |
| 18.3 | 62 |
| 28.3 | 61 |
| 41.6 | 35 |
| 37.6 | 31 |
| 28.2 | 30 |
| 34.7 | 30 |
| 44.2 | 30 |